For LiMg2MnO4, a PBE+U-relaxed structure gives the simulated powder diffractogram in this record (Cu Kα (weighted mean of Kα1 and Kα2)).
Neutral-atom scattering factors, no anomalous dispersion.

Main lines, low angle first (15° ≤ 2θ ≤ 90°):
hkl 0 0 2, d 4.143, rel. 272
hkl 1 0 1, d 3.787, rel. 509
hkl 1 1 0, d 3.010, rel. 234
hkl 1 1 2, d 2.435, rel. 218
hkl 2 0 0, d 2.129, rel. 1000
hkl 0 0 4, d 2.071, rel. 448
hkl 2 1 1, d 1.856, rel. 121
hkl 2 2 0, d 1.505, rel. 278
hkl 2 0 4, d 1.485, rel. 520
hkl 2 2 4, d 1.218, rel. 239

```
data_LiMg2MnO4
_chemical_formula_sum 'Li2 Mg4 Mn2 O8'
_cell_length_a 4.257
_cell_length_b 4.257
_cell_length_c 8.285
_cell_angle_alpha 90.00
_cell_angle_beta 90.00
_cell_angle_gamma 90.00
_symmetry_space_group_name_H-M 'I -4 m 2'
_symmetry_Int_Tables_number 119
_symmetry_space_group_name_Hall 'I -4 -2'
loop_
_atom_site_label
_atom_site_fract_x
_atom_site_fract_y
_atom_site_fract_z
_atom_site_occupancy
Li1 0.000 0.000 0.000 1
Mg1 0.000 0.000 0.500 1
Mg2 0.000 0.500 0.250 1
Mn1 0.000 0.500 0.750 1
O1 0.000 0.000 0.254 1
O2 0.000 0.500 0.511 1
```